Structure and theoretical powder diffractogram of Y2Ni12P7 (a PBE-relaxed structure; Cu Kα, 1.54184 Å).
Kinematic intensities with the Lorentz-polarization factor, no thermal factor.

Top 10 peaks for 10° ≤ 2θ ≤ 90°, in order of rising 2θ:
- 30.1°, I = 7
- 38.9°, I = 100
- 42.3°, I = 9
- 46.2°, I = 7
- 48.5°, I = 12
- 49.3°, I = 18
- 50.6°, I = 12
- 53.4°, I = 16
- 75.6°, I = 10
- 85.2°, I = 9

Structure:
Cell lengths 9.0722, 9.0722, 3.6987 Å; angles 90.00, 90.00, 120.00 degrees
Fractional positions:
Y1 0.3333 0.6667 0.2511
Y2 0.6667 0.3333 0.7489
Ni1 0.0568 0.4341 0.7501
Ni2 0.1140 0.2553 0.2451
Ni3 0.1413 0.8860 0.2451
Ni4 0.2553 0.1413 0.7549
Ni5 0.3773 0.9432 0.7501
Ni6 0.4341 0.3773 0.2499
Ni7 0.5659 0.6227 0.7501
Ni8 0.6227 0.0568 0.2499
Ni9 0.7447 0.8587 0.2451
Ni10 0.8587 0.1140 0.7549
Ni11 0.8860 0.7447 0.7549
Ni12 0.9432 0.5659 0.2499
P1 0.0000 0.0000 0.5000
P2 0.1118 0.7054 0.7508
P3 0.2946 0.4064 0.7508
P4 0.4064 0.1118 0.2492
P5 0.5936 0.8882 0.7508
P6 0.7054 0.5936 0.2492
P7 0.8882 0.2946 0.2492